This entry pairs a crystal structure of Li2Mn4O9 with its calculated powder XRD pattern. Radiation: Cu Kα (λ = 1.5418 Å). Structure: DFT lattice parameters and positions (PBE+U).
Lines closer than 0.1° are merged.

Crystal structure
```
data_Li2Mn4O9
_chemical_formula_sum 'Li4 Mn8 O18'
_cell_length_a 4.9411
_cell_length_b 4.9411
_cell_length_c 13.6000
_cell_angle_alpha 90.00
_cell_angle_beta 90.00
_cell_angle_gamma 120.00
_symmetry_space_group_name_H-M 'P -3 c 1'
_symmetry_Int_Tables_number 165
_symmetry_space_group_name_Hall '-P 3 2"c'
loop_
_atom_site_label
_atom_site_type_symbol
_atom_site_fract_x
_atom_site_fract_y
_atom_site_fract_z
Li1 Li 0.0000 0.0000 0.1503
Mn1 Mn 0.3333 0.6667 0.0148
Mn2 Mn 0.3333 0.6667 0.3156
O1 O 0.0000 0.3302 0.2500
O2 O 0.0324 0.3742 0.9204
```

Principal peaks in the range 2θ = 5–70°, in order of falling intensity:
20.76 deg, rel. 100, hkl 1 0 0
33.67 deg, rel. 81, hkl 1 0 4
54.98 deg, rel. 65, hkl 1 1 6
24.58 deg, rel. 50, hkl 0 1 2
36.37 deg, rel. 49, hkl 1 1 0
41.63 deg, rel. 35, hkl 1 1 3
50.39 deg, rel. 34, hkl 0 2 4
65.43 deg, rel. 34, hkl 3 0 0
63.72 deg, rel. 29, hkl 2 1 4
26.21 deg, rel. 14, hkl 0 0 4
45.38 deg, rel. 13, hkl 1 1 4
45.27 deg, rel. 11, hkl 0 1 6